Simulated PXRD pattern of LiNbWO6 for a wavelength of 1.5418 Å, from a crystal structure in Alexandria, relaxed with PBE+U.
Kinematic intensities with the Lorentz-polarization factor, no thermal factor.

Atomic structure:
```
data_LiNbWO6
_chemical_formula_sum 'Li2 Nb2 W2 O12'
_space_group_name_H-M_alt 'P -4 21 m'
_space_group_IT_number 113
_space_group_name_Hall 'P -4 2ab'
_cell_length_a 4.775
_cell_length_b 4.775
_cell_length_c 9.430
_cell_angle_alpha 90.00
_cell_angle_beta 90.00
_cell_angle_gamma 90.00
loop_
_atom_site_label
_atom_site_type_symbol
_atom_site_fract_x
_atom_site_fract_y
_atom_site_fract_z
Li1 Li 0.000 0.500 0.075
Nb1 Nb 0.000 0.500 0.408
W1 W 0.000 0.500 0.766
O1 O 0.195 0.695 0.580
O2 O 0.200 0.700 0.891
O3 O 0.212 0.712 0.273
```

Peak list (10 most intense, 15 to 90 degrees two-theta, low angle first)
h k l, 2θ (°), I_rel
0 0 2, 18.8, 26.6
1 0 1, 20.9, 68.2
1 1 0, 26.4, 100.0
1 0 2, 26.6, 35.6
1 1 2, 32.6, 24.8
1 0 3, 34.2, 71.7
2 0 0, 37.7, 18.6
2 1 1, 43.5, 19.1
2 1 3, 51.8, 62.7
3 0 3, 65.8, 19.1